Starting from the PBE geometry in the Materials Project, the powder diffractogram of Al3Ni5 was simulated for Cu Ka.
Neutral-atom scattering factors, no anomalous dispersion.

Structure:
a b c (Å): 6.5901 7.5095 3.7405
angles (deg): 90.00 90.00 90.00
Space group Cmmm (No. 65)
Symmetry-distinct sites (fractional):
Al1 0.0000 0.0000 0.0000 (multiplicity 2)
Al2 0.0000 0.2755 0.5000 (multiplicity 4)
Ni1 0.0000 0.5000 0.0000 (multiplicity 2)
Ni2 0.2259 0.0000 0.5000 (multiplicity 4)
Ni3 0.2500 0.2500 0.0000 (multiplicity 4)

Principal peaks in the range 2θ = 10–80°, by intensity:
hkl	2theta	d (Å)	intensity
2 2 1	43.84	2.065	100
0 0 2	48.69	1.870	19
0 4 0	48.49	1.877	18
4 0 0	55.80	1.648	11
0 4 2	71.16	1.325	11
0 2 1	33.83	2.650	9
4 4 0	77.01	1.238	8
4 0 2	77.16	1.236	8
2 0 0	27.06	3.295	7
1 1 1	29.93	2.985	4
1 3 1	45.74	1.984	4
3 1 0	42.90	2.108	4

---

Starting from the PBE geometry in the Materials Project, the powder diffractogram of SrH3Pd was simulated for Cu Ka.
Neutral-atom scattering factors, no anomalous dispersion.

Structure:
a b c (Å): 3.8486 3.8486 3.8486
angles (deg): 90.00 90.00 90.00
Space group Pm-3m (No. 221)
Symmetry-distinct sites (fractional):
Sr1 0.0000 0.0000 0.0000 (multiplicity 1)
H1 0.0000 0.5000 0.5000 (multiplicity 3)
Pd1 0.5000 0.5000 0.5000 (multiplicity 1)

Principal peaks in the range 2θ = 10–80°, by intensity:
hkl	2theta	d (Å)	intensity
1 1 0	32.91	2.721	100
2 1 1	58.77	1.571	37
2 0 0	47.23	1.924	19
3 1 0	78.61	1.217	16
2 2 0	69.02	1.361	12
1 0 0	23.11	3.849	2
2 1 0	53.22	1.721	1

---

Starting from the PBE geometry in the Materials Project, the powder diffractogram of TbOs2 was simulated for Cu Ka.
Neutral-atom scattering factors, no anomalous dispersion.

Structure:
a b c (Å): 5.3394 5.3394 8.8524
angles (deg): 90.00 90.00 120.00
Space group P6_3/mmc (No. 194)
Symmetry-distinct sites (fractional):
Tb1 0.3333 0.6667 0.0654 (multiplicity 4)
Os1 0.0000 0.0000 0.0000 (multiplicity 2)
Os2 0.1726 0.3451 0.7500 (multiplicity 6)

Principal peaks in the range 2θ = 10–80°, by intensity:
hkl	2theta	d (Å)	intensity
1 1 2	39.42	2.286	100
2 0 1	40.32	2.237	96
1 0 3	36.11	2.487	69
2 0 5	66.52	1.406	37
2 2 0	70.55	1.335	30
2 0 2	44.20	2.049	27
3 0 2	63.96	1.456	25
2 1 3	61.68	1.504	24
0 0 4	40.77	2.213	23
1 1 0	33.57	2.670	23
2 0 6	76.61	1.244	16
1 0 4	45.43	1.996	14

---

Starting from the PBE geometry in the Materials Project, the powder diffractogram of FeC2N3 was simulated for Cu Ka.
Neutral-atom scattering factors, no anomalous dispersion.

Structure:
a b c (Å): 10.5961 8.5435 5.9572
angles (deg): 90.00 101.95 90.00
Space group C2/c (No. 15)
Symmetry-distinct sites (fractional):
Fe1 0.0000 0.0291 0.2500 (multiplicity 4)
Fe2 0.0000 0.2619 0.7500 (multiplicity 4)
C1 0.1412 0.3482 0.3930 (multiplicity 8)
C2 0.1963 0.2363 0.0645 (multiplicity 8)
N1 0.0895 0.3714 0.5498 (multiplicity 8)
N2 0.1033 0.1248 0.0114 (multiplicity 8)
N3 0.2074 0.3378 0.2414 (multiplicity 8)

Principal peaks in the range 2θ = 10–80°, by intensity:
hkl	2theta	d (Å)	intensity
2 0 0	17.11	5.183	100
2 2 1	32.93	2.720	76
1 1 0	13.43	6.593	71
1 3 -1	35.34	2.540	55
1 1 -1	18.95	4.683	45
3 1 1	34.44	2.604	43
3 3 1	45.98	1.974	38
3 1 0	27.85	3.203	37
1 3 0	32.61	2.746	36
4 0 -2	41.56	2.173	32
3 1 -1	29.12	3.067	28
2 0 -2	31.94	2.802	28

---

Starting from the PBE geometry in the Materials Project, the powder diffractogram of Ba4LiRh4O12 was simulated for Cu Ka.
Neutral-atom scattering factors, no anomalous dispersion.

Structure:
a b c (Å): 5.8121 5.8121 10.0644
angles (deg): 90.00 90.00 120.00
Space group P3m1 (No. 156)
Symmetry-distinct sites (fractional):
Ba1 0.0000 0.0000 0.0000 (multiplicity 1)
Ba2 0.0000 0.0000 0.4102 (multiplicity 1)
Ba3 0.3333 0.6667 0.2054 (multiplicity 1)
Ba4 0.6667 0.3333 0.7051 (multiplicity 1)
Li1 0.0000 0.0000 0.7056 (multiplicity 1)
Rh1 0.3333 0.6667 0.5689 (multiplicity 1)
Rh2 0.3333 0.6667 0.8415 (multiplicity 1)
Rh3 0.6667 0.3333 0.0680 (multiplicity 1)
Rh4 0.6667 0.3333 0.3423 (multiplicity 1)
O1 0.0072 0.5036 0.9609 (multiplicity 3)
O2 0.0077 0.5038 0.4489 (multiplicity 3)
O3 0.1818 0.3636 0.7052 (multiplicity 3)
O4 0.3647 0.1823 0.2051 (multiplicity 3)

Principal peaks in the range 2θ = 10–80°, by intensity:
hkl	2theta	d (Å)	intensity
1 1 0	30.77	2.906	100
1 0 3	32.06	2.792	67
2 0 3	45.03	2.013	38
2 1 3	55.53	1.655	33
1 0 2	25.02	3.559	32
0 2 2	40.06	2.251	29
2 2 0	64.09	1.453	25
3 0 0	54.71	1.678	21
3 1 3	73.47	1.289	15
0 1 5	48.72	1.869	13
1 2 5	67.78	1.383	12
2 1 2	51.35	1.779	11